Simulated powder XRD pattern of NbCr3Ag2S8 for copper Kα, from a cell relaxed with GGA-PBE.
No peak broadening, texture or thermal motion is included.

Main lines, sorted by position (2θ from 15° to 90°):
2theta  Rel. int.
19.86  23.6
20.57  24.9
25.42  27.7
29.55  68.0
29.88  28.3
32.49  30.9
40.35  55.8
40.48  51.6
41.22  100.0
41.82  32.5
52.22  27.0
52.83  51.6

Structural model:
abc: 5.985 7.007 6.475
angles: 90.00 91.98 90.00
Space group P2/m (No. 10)
One atom of each set of equivalent atoms:
Nb1 0.000 0.000 0.000
Cr1 0.000 0.500 0.000
Cr2 0.500 0.251 0.000
Ag1 0.000 0.000 0.500
Ag2 0.000 0.500 0.500
S1 0.178 0.256 0.216
S2 0.329 0.500 0.800
S3 0.337 0.000 0.785